Entry 1:
Structure and theoretical powder XRD pattern of TeWS (a cell relaxed with GGA-PBE; Cu Kα).
Intensities are scaled so that the largest is 100.

Top 10 peaks for 2θ from 10° to 90°, in order of rising 2θ:
7.990 Å, I 100, (0 0 3); 5.992 Å, I 16, (0 0 4); 2.910 Å, I 26, (1 0 0); 2.888 Å, I 18, (0 1 1); 2.734 Å, I 14, (1 0 3); 2.617 Å, I 21, (0 1 4); 2.487 Å, I 64, (1 0 5); 2.352 Å, I 27, (1 0 6); 2.087 Å, I 35, (0 1 8); 1.680 Å, I 17, (1 1 0)

Cell and atoms:
```
TeWS
1.0
3.3597 0.0000 0.0000
-1.6798 2.9096 0.0000
0.0000 0.0000 23.9689
Te W S
2 2 2
direct
0.0000 0.0000 0.0000
0.0000 0.0000 0.1587
0.0000 0.0000 0.7784
0.3333 0.6667 0.0794
0.3333 0.6667 0.7150
0.3333 0.6667 0.8417
```


Entry 2:
Structure and theoretical powder XRD pattern of Te2W3S4 (a cell relaxed with GGA-PBE; Cu Kα).
Intensities are scaled so that the largest is 100.

Top 10 peaks for 2θ from 10° to 90°, in order of rising 2θ:
7.642 Å, I 100, (0 0 4); 6.114 Å, I 23, (0 0 5); 2.858 Å, I 22, (1 0 0); 2.810 Å, I 15, (1 0 2); 2.677 Å, I 15, (0 1 4); 2.493 Å, I 43, (0 1 6); 2.392 Å, I 45, (1 0 7); 2.088 Å, I 15, (0 1 10); 1.993 Å, I 29, (1 0 11); 1.650 Å, I 21, (1 1 0)

Cell and atoms:
```
Te2W3S4
1.0
3.3007 0.0000 0.0000
-1.6503 2.8585 0.0000
0.0000 0.0000 30.5699
Te W S
2 3 4
direct
0.0000 0.0000 0.0000
0.0000 0.0000 0.1261
0.0000 0.0000 0.8316
0.6667 0.3333 0.0631
0.6667 0.3333 0.6004
0.0000 0.0000 0.5501
0.0000 0.0000 0.6506
0.6667 0.3333 0.7814
0.6667 0.3333 0.8819
```


Entry 3:
Structure and theoretical powder XRD pattern of TeWS (a cell relaxed with GGA-PBE; Cu Kα).
Intensities are scaled so that the largest is 100.

Top 10 peaks for 2θ from 10° to 90°, in order of rising 2θ:
7.678 Å, I 100, (0 0 5); 6.398 Å, I 19, (0 0 6); 2.909 Å, I 41, (1 0 0); 2.721 Å, I 14, (1 0 5); 2.489 Å, I 84, (1 0 8); 2.402 Å, I 15, (0 0 16); 2.073 Å, I 40, (0 1 13); 1.996 Å, I 13, (1 0 14); 1.680 Å, I 26, (1 1 0); 1.393 Å, I 14, (0 2 8)

Cell and atoms:
```
TeWS
1.0
3.3607 0.0000 0.0000
-1.6803 2.9104 0.0000
0.0000 0.0000 38.3903
Te W S
4 4 4
direct
0.0000 0.0000 0.0000
0.0000 0.0000 0.0991
0.0000 0.0000 0.3758
0.0000 0.0000 0.4748
0.0000 0.0000 0.2374
0.0000 0.0000 0.8617
0.3333 0.6667 0.0496
0.3333 0.6667 0.4253
0.3333 0.6667 0.1979
0.3333 0.6667 0.2769
0.3333 0.6667 0.8221
0.3333 0.6667 0.9012
```


Entry 4:
Structure and theoretical powder XRD pattern of Te2W3S4 (a cell relaxed with GGA-PBE; Cu Kα).
Intensities are scaled so that the largest is 100.

Top 10 peaks for 2θ from 10° to 90°, in order of rising 2θ:
7.638 Å, I 100, (0 0 4); 6.110 Å, I 16, (0 0 5); 2.858 Å, I 28, (1 0 0); 2.846 Å, I 12, (1 0 1); 2.677 Å, I 14, (1 0 4); 2.492 Å, I 48, (1 0 6); 2.391 Å, I 52, (1 0 7); 2.087 Å, I 18, (1 0 10); 1.992 Å, I 29, (1 0 11); 1.649 Å, I 25, (1 1 0)

Cell and atoms:
```
Te2W3S4
1.0
3.3001 0.0000 0.0000
-1.6501 2.8580 0.0000
0.0000 0.0000 30.5513
Te W S
2 3 4
direct
0.0000 0.0000 0.0629
0.0000 0.0000 0.9371
0.0000 0.0000 0.2314
0.0000 0.0000 0.7686
0.3333 0.6667 0.0000
0.3333 0.6667 0.1811
0.3333 0.6667 0.2816
0.3333 0.6667 0.7184
0.3333 0.6667 0.8189
```